(1)
Starting from a crystal structure in the Materials Project, relaxed with GGA-PBE, the PXRD pattern of CsGa7 was computed for λ = 1.5418 Å (Cu Kα).
Neutral-atom scattering factors, no anomalous dispersion.

Crystal structure
```
data_CsGa7
_chemical_formula_sum 'Cs6 Ga42'
_symmetry_space_group_name_H-M 'R -3 m'
_symmetry_Int_Tables_number 166
_symmetry_space_group_name_Hall '-R 3 2"'
_cell_length_a 6.7712
_cell_length_b 6.7712
_cell_length_c 29.2468
_cell_angle_alpha 90.00
_cell_angle_beta 90.00
_cell_angle_gamma 120.00
loop_
_atom_site_label
_atom_site_type_symbol
_atom_site_fract_x
_atom_site_fract_y
_atom_site_fract_z
_atom_site_occupancy
Cs1 Cs 0.0000 0.0000 0.1948 1
Ga1 Ga 0.0000 0.0000 0.4552 1
Ga2 Ga 0.0542 0.5271 0.7424 1
Ga3 Ga 0.0664 0.5332 0.3513 1
```

The 10 most intense peaks (15 to 90 degrees two-theta), in order of rising 2θ:
- hkl 1 1 3, 2θ 27.9, d 3.198, I 83.8
- hkl 0 1 8, 2θ 28.8, d 3.102, I 100.0
- hkl 2 0 2, 2θ 31.1, d 2.875, I 59.5
- hkl 1 0 10, 2θ 34.3, d 2.618, I 19.9
- hkl 1 2 5, 2θ 43.7, d 2.072, I 80.5
- hkl 2 0 11, 2θ 46.1, d 1.970, I 33.8
- hkl 3 0 3, 2θ 47.4, d 1.917, I 44.4
- hkl 0 2 13, 2θ 51.2, d 1.785, I 19.7
- hkl 2 2 0, 2θ 54.2, d 1.693, I 31.9
- hkl 2 3 8, 2θ 75.3, d 1.263, I 24.7

(2)
Starting from a crystal structure in the Materials Project, relaxed with GGA-PBE, the PXRD pattern of Cs2NaGaH6 was computed for λ = 1.5418 Å (Cu Kα).
Neutral-atom scattering factors, no anomalous dispersion.

Crystal structure
```
data_Cs2NaGaH6
_chemical_formula_sum 'Cs8 Na4 Ga4 H24'
_symmetry_space_group_name_H-M 'F m -3 m'
_symmetry_Int_Tables_number 225
_symmetry_space_group_name_Hall '-F 4 2 3'
_cell_length_a 8.611
_cell_length_b 8.611
_cell_length_c 8.611
_cell_angle_alpha 90.00
_cell_angle_beta 90.00
_cell_angle_gamma 90.00
loop_
_atom_site_label
_atom_site_type_symbol
_atom_site_fract_x
_atom_site_fract_y
_atom_site_fract_z
_atom_site_occupancy
Cs1 Cs 0.250 0.250 0.250 1
Na1 Na 0.000 0.000 0.000 1
Ga1 Ga 0.000 0.000 0.500 1
H1 H 0.000 0.000 0.290 1
```

The 10 most intense peaks (15 to 90 degrees two-theta), in order of rising 2θ:
- hkl 2 0 0, 2θ 20.6, d 4.305, I 23.4
- hkl 2 2 0, 2θ 29.3, d 3.044, I 100.0
- hkl 2 2 2, 2θ 36.1, d 2.486, I 8.5
- hkl 4 0 0, 2θ 42.0, d 2.153, I 19.5
- hkl 4 2 0, 2θ 47.2, d 1.925, I 10.7
- hkl 4 2 2, 2θ 52.0, d 1.758, I 39.2
- hkl 4 4 0, 2θ 60.9, d 1.522, I 12.5
- hkl 4 4 2, 2θ 65.0, d 1.435, I 5.4
- hkl 6 2 0, 2θ 69.0, d 1.361, I 16.9
- hkl 6 4 2, 2θ 84.1, d 1.151, I 19.7

(3)
Starting from a crystal structure in the Materials Project, relaxed with GGA-PBE, the PXRD pattern of CsGaP3HO10 was computed for λ = 1.5418 Å (Cu Kα).
Neutral-atom scattering factors, no anomalous dispersion.

Crystal structure
```
data_CsGaP3HO10
_chemical_formula_sum 'Cs2 Ga2 P6 H2 O20'
_symmetry_space_group_name_H-M 'C 1 2 1'
_symmetry_Int_Tables_number 5
_symmetry_space_group_name_Hall 'C 2y'
_cell_length_a 9.179
_cell_length_b 8.829
_cell_length_c 6.302
_cell_angle_alpha 90.00
_cell_angle_beta 111.84
_cell_angle_gamma 90.00
loop_
_atom_site_label
_atom_site_type_symbol
_atom_site_fract_x
_atom_site_fract_y
_atom_site_fract_z
_atom_site_occupancy
Cs1 Cs 0.000 0.000 0.000 1
Ga1 Ga 0.000 0.337 0.500 1
P1 P 0.000 0.434 0.000 1
P2 P 0.182 0.619 0.395 1
H1 H 0.000 0.749 0.500 1
O1 O 0.053 0.341 0.840 1
O2 O 0.061 0.747 0.360 1
O3 O 0.142 0.544 0.139 1
O4 O 0.150 0.171 0.535 1
O5 O 0.166 0.492 0.550 1
```

The 10 most intense peaks (15 to 90 degrees two-theta), in order of rising 2θ:
- hkl 1 1 -1, 2θ 17.9, d 4.945, I 56.3
- hkl 2 0 -1, 2θ 20.7, d 4.285, I 43.7
- hkl 2 0 0, 2θ 20.9, d 4.260, I 57.6
- hkl 1 1 1, 2θ 23.7, d 3.759, I 58.4
- hkl 0 2 1, 2θ 25.3, d 3.524, I 67.8
- hkl 2 2 -1, 2θ 29.1, d 3.072, I 100.0
- hkl 1 1 -2, 2θ 30.1, d 2.965, I 26.6
- hkl 0 0 2, 2θ 30.6, d 2.925, I 39.1
- hkl 1 3 0, 2θ 32.2, d 2.782, I 32.2
- hkl 2 2 -2, 2θ 36.3, d 2.472, I 30.2